The following is a computed X-ray diffraction stick pattern of Tl5SnHg5. It was derived from a cell relaxed with PBE, using a wavelength of 1.5418 Å.

Structural model:
```
Tl5SnHg5
1.0
6.003 -3.059 0.000
6.003 3.059 0.000
-4.521 0.000 9.163
Tl Sn Hg
5 1 5
direct
0.000 0.000 0.000
0.319 0.319 0.153
0.376 0.376 0.748
0.624 0.624 0.252
0.681 0.681 0.847
0.000 0.000 0.500
0.149 0.149 0.819
0.198 0.198 0.386
0.500 0.500 0.500
0.802 0.802 0.614
0.851 0.851 0.181
```

The 12 most intense peaks (2θ = 10–90°), in order of falling intensity:
2θ 29.2, rel. 1000
2θ 30.2, rel. 821
2θ 42.5, rel. 659
2θ 33.9, rel. 418
2θ 30.4, rel. 405
2θ 30.7, rel. 380
2θ 35.1, rel. 319
2θ 42.9, rel. 311
2θ 46.3, rel. 290
2θ 59.7, rel. 170
2θ 69.1, rel. 160
2θ 28.4, rel. 157